1.
Diffraction record for NbH6C2SCl4. The PXRD pattern is theoretical, not measured: it uses the GGA-PBE geometry in OQMD and Cu Kα (λ = 1.5418 Å).
Intensities are scaled so that the largest is 100.

Cell and atoms:
Unit cell a=6.701 b=10.395 c=14.649 alpha=90.00 beta=112.51 gamma=90.00
Space group P2_1/c (No. 14)
One atom of each set of equivalent atoms:
1 Nb 0.056 0.146 0.005 (multiplicity 4)
2 H 0.068 0.727 0.778 (multiplicity 4)
3 H 0.168 0.532 0.183 (multiplicity 4)
4 H 0.195 0.572 0.810 (multiplicity 4)
5 H 0.293 0.123 0.724 (multiplicity 4)
6 H 0.314 0.044 0.619 (multiplicity 4)
7 H 0.323 0.711 0.881 (multiplicity 4)
8 C 0.167 0.665 0.839 (multiplicity 4)
9 C 0.211 0.061 0.660 (multiplicity 4)
10 S 0.034 0.635 0.923 (multiplicity 4)
11 Cl 0.170 0.523 0.420 (multiplicity 4)
12 Cl 0.251 0.209 0.442 (multiplicity 4)
13 Cl 0.275 0.698 0.621 (multiplicity 4)
14 Cl 0.338 0.127 0.160 (multiplicity 4)

Largest 10 diffraction maxima, by angle, 10 to 90 degrees two-theta:
- 2θ = 10.73°, rel. 87, hkl 0 1 1
- 2θ = 13.08°, rel. 100, hkl 0 0 2
- 2θ = 14.31°, rel. 76, hkl 1 0 0
- 2θ = 15.26°, rel. 70, hkl 1 0 -2
- 2θ = 15.77°, rel. 18, hkl 1 1 -1
- 2θ = 21.23°, rel. 17, hkl 1 1 -3
- 2θ = 22.90°, rel. 22, hkl 1 0 2
- 2θ = 28.99°, rel. 38, hkl 1 3 -1
- 2θ = 32.42°, rel. 43, hkl 1 3 -3
- 2θ = 35.81°, rel. 18, hkl 2 1 -5



2.
Diffraction record for Ta4ZnCdN2. The PXRD pattern is theoretical, not measured: it uses the GGA-PBE geometry in OQMD and Cu Kα (λ = 1.5418 Å).
Intensities are scaled so that the largest is 100.

Cell and atoms:
Unit cell a=3.1085 b=3.1085 c=14.0766 alpha=90.00 beta=90.00 gamma=120.00
Space group P-6m2 (No. 187)
One atom of each set of equivalent atoms:
1 Ta 0.0000 0.0000 0.1551 (multiplicity 2)
2 Ta 0.3333 0.6667 0.3257 (multiplicity 2)
3 Zn 0.3333 0.6667 0.0000 (multiplicity 1)
4 Cd 0.0000 0.0000 0.5000 (multiplicity 1)
5 N 0.6667 0.3333 0.2410 (multiplicity 2)

Largest 10 diffraction maxima, by angle, 10 to 90 degrees two-theta:
- 2θ = 12.58°, rel. 14, hkl 0 0 2
- 2θ = 33.28°, rel. 23, hkl 1 0 0
- 2θ = 33.90°, rel. 6, hkl 1 0 1
- 2θ = 38.37°, rel. 20, hkl 0 0 6
- 2θ = 38.56°, rel. 100, hkl 1 0 3
- 2θ = 51.68°, rel. 15, hkl 1 0 6
- 2θ = 59.47°, rel. 20, hkl 1 1 0
- 2θ = 69.51°, rel. 14, hkl 1 0 9
- 2θ = 73.02°, rel. 18, hkl 1 1 6
- 2θ = 73.15°, rel. 15, hkl 2 0 3



3.
Diffraction record for Nd2Sm2C2I2BrCl2. The PXRD pattern is theoretical, not measured: it uses the GGA-PBE geometry in OQMD and Cu Kα (λ = 1.5418 Å).
Intensities are scaled so that the largest is 100.

Cell and atoms:
Unit cell a=19.311 b=3.925 c=8.264 alpha=90.00 beta=103.44 gamma=90.00
Space group C2/m (No. 12)
One atom of each set of equivalent atoms:
1 Nd 0.158 0.000 0.084 (multiplicity 4)
2 Sm 0.003 0.500 0.802 (multiplicity 4)
3 C 0.037 0.000 0.018 (multiplicity 4)
4 I 0.162 0.500 0.380 (multiplicity 4)
5 Br 0.000 0.000 0.500 (multiplicity 2)
6 Cl 0.168 0.500 0.839 (multiplicity 4)

Largest 10 diffraction maxima, by angle, 10 to 90 degrees two-theta:
- 2θ = 12.72°, rel. 25, hkl 2 0 -1
- 2θ = 27.74°, rel. 46, hkl 3 1 -1
- 2θ = 28.51°, rel. 74, hkl 6 0 0
- 2θ = 30.33°, rel. 44, hkl 3 1 1
- 2θ = 31.44°, rel. 100, hkl 1 1 -2
- 2θ = 34.47°, rel. 24, hkl 4 0 -3
- 2θ = 36.97°, rel. 24, hkl 2 0 3
- 2θ = 42.66°, rel. 38, hkl 7 1 -2
- 2θ = 43.25°, rel. 39, hkl 5 1 2
- 2θ = 58.98°, rel. 24, hkl 12 0 0



4.
Diffraction record for Rb2Ta3Hg4. The PXRD pattern is theoretical, not measured: it uses the GGA-PBE geometry in OQMD and Cu Kα (λ = 1.5418 Å).
Intensities are scaled so that the largest is 100.

Cell and atoms:
Unit cell a=9.847 b=2.861 c=9.852 alpha=90.00 beta=119.98 gamma=90.00
Space group Pm (No. 6)
One atom of each set of equivalent atoms:
1 Rb 0.000 0.000 0.000 (multiplicity 1)
2 Rb 0.333 0.500 0.667 (multiplicity 1)
3 Ta 0.416 0.000 0.335 (multiplicity 1)
4 Ta 0.665 0.000 0.081 (multiplicity 1)
5 Ta 0.919 0.000 0.584 (multiplicity 1)
6 Hg 0.353 0.500 0.026 (multiplicity 1)
7 Hg 0.667 0.500 0.333 (multiplicity 1)
8 Hg 0.674 0.500 0.647 (multiplicity 1)
9 Hg 0.974 0.500 0.326 (multiplicity 1)

Largest 10 diffraction maxima, by angle, 10 to 90 degrees two-theta:
- 2θ = 10.37°, rel. 100, hkl 0 0 1
- 2θ = 31.46°, rel. 88, hkl 3 0 0
- 2θ = 36.32°, rel. 73, hkl 1 1 1
- 2θ = 38.03°, rel. 15, hkl 3 0 -4
- 2θ = 42.23°, rel. 47, hkl 1 1 2
- 2θ = 42.38°, rel. 23, hkl 4 0 0
- 2θ = 44.95°, rel. 18, hkl 3 1 0
- 2θ = 57.01°, rel. 19, hkl 2 1 -5
- 2θ = 65.56°, rel. 16, hkl 3 1 3
- 2θ = 74.21°, rel. 15, hkl 3 2 0



5.
Diffraction record for Cu5Ag4. The PXRD pattern is theoretical, not measured: it uses the GGA-PBE geometry in OQMD and Cu Kα (λ = 1.5418 Å).
Intensities are scaled so that the largest is 100.

Cell and atoms:
Unit cell a=9.090 b=2.777 c=11.250 alpha=90.00 beta=113.46 gamma=90.00
Space group Cm (No. 8)
One atom of each set of equivalent atoms:
1 Cu 0.000 0.000 0.000 (multiplicity 2)
2 Cu 0.025 0.500 0.195 (multiplicity 2)
3 Cu 0.088 0.000 0.407 (multiplicity 2)
4 Cu 0.261 0.500 0.096 (multiplicity 2)
5 Cu 0.347 0.500 0.525 (multiplicity 2)
6 Ag 0.125 0.500 0.624 (multiplicity 2)
7 Ag 0.219 0.000 0.885 (multiplicity 2)
8 Ag 0.311 0.000 0.310 (multiplicity 2)
9 Ag 0.424 0.000 0.758 (multiplicity 2)

Largest 10 diffraction maxima, by angle, 10 to 90 degrees two-theta:
- 2θ = 40.33°, rel. 100, hkl 1 1 2
- 2θ = 40.60°, rel. 33, hkl 4 0 -1
- 2θ = 46.32°, rel. 47, hkl 3 1 -3
- 2θ = 48.31°, rel. 16, hkl 2 0 4
- 2θ = 67.44°, rel. 7, hkl 0 2 0
- 2θ = 68.96°, rel. 10, hkl 1 1 -7
- 2θ = 69.37°, rel. 10, hkl 5 1 1
- 2θ = 81.59°, rel. 8, hkl 2 2 -5
- 2θ = 81.75°, rel. 15, hkl 4 2 -1
- 2θ = 82.09°, rel. 7, hkl 7 1 -4



6.
Diffraction record for Nb3SIBr6. The PXRD pattern is theoretical, not measured: it uses the GGA-PBE geometry in OQMD and Cu Kα (λ = 1.5418 Å).
Intensities are scaled so that the largest is 100.

Cell and atoms:
Unit cell a=7.2878 b=7.2878 c=6.7560 alpha=90.00 beta=90.00 gamma=120.00
Space group P3m1 (No. 156)
One atom of each set of equivalent atoms:
1 Nb 0.2001 0.4002 0.0000 (multiplicity 3)
2 S 0.3333 0.6667 0.7419 (multiplicity 1)
3 I 0.0000 0.0000 0.2365 (multiplicity 1)
4 Br 0.0019 0.5009 0.2528 (multiplicity 3)
5 Br 0.3350 0.1675 0.7911 (multiplicity 3)

Largest 10 diffraction maxima, by angle, 10 to 90 degrees two-theta:
- 2θ = 13.10°, rel. 52, hkl 0 0 1
- 2θ = 19.24°, rel. 13, hkl 1 0 1
- 2θ = 31.28°, rel. 100, hkl 2 0 1
- 2θ = 39.06°, rel. 49, hkl 2 0 2
- 2θ = 40.08°, rel. 10, hkl 1 2 1
- 2θ = 49.74°, rel. 28, hkl 0 2 3
- 2θ = 50.06°, rel. 23, hkl 2 2 0
- 2θ = 57.47°, rel. 11, hkl 2 2 2
- 2θ = 60.22°, rel. 15, hkl 0 4 1
- 2θ = 82.02°, rel. 14, hkl 2 4 1



7.
Diffraction record for Pr2SmTc2N6. The PXRD pattern is theoretical, not measured: it uses the GGA-PBE geometry in OQMD and Cu Kα (λ = 1.5418 Å).
Intensities are scaled so that the largest is 100.

Cell and atoms:
Unit cell a=3.901 b=3.901 c=19.517 alpha=90.00 beta=90.00 gamma=90.00
Space group I4/mmm (No. 139)
One atom of each set of equivalent atoms:
1 Pr 0.000 0.000 0.184 (multiplicity 4)
2 Sm 0.000 0.000 0.000 (multiplicity 2)
3 Tc 0.000 0.000 0.411 (multiplicity 4)
4 N 0.000 0.000 0.304 (multiplicity 4)
5 N 0.000 0.500 0.084 (multiplicity 8)

Largest 10 diffraction maxima, by angle, 10 to 90 degrees two-theta:
- 2θ = 32.45°, rel. 100, hkl 1 1 0
- 2θ = 39.74°, rel. 7, hkl 1 0 7
- 2θ = 43.00°, rel. 5, hkl 1 1 6
- 2θ = 46.56°, rel. 23, hkl 2 0 0
- 2θ = 57.90°, rel. 32, hkl 2 1 5
- 2θ = 62.84°, rel. 3, hkl 2 1 7
- 2θ = 66.77°, rel. 4, hkl 1 1 12
- 2θ = 67.96°, rel. 11, hkl 2 2 0
- 2θ = 77.36°, rel. 12, hkl 3 1 0
- 2θ = 88.86°, rel. 4, hkl 1 0 17



8.
Diffraction record for ReTe3SeS. The PXRD pattern is theoretical, not measured: it uses the GGA-PBE geometry in OQMD and Cu Kα (λ = 1.5418 Å).
Intensities are scaled so that the largest is 100.

Cell and atoms:
Unit cell a=7.034 b=7.043 c=8.054 alpha=90.66 beta=115.58 gamma=105.34
Space group P-1 (No. 2)
One atom of each set of equivalent atoms:
1 Re 0.200 0.002 0.497 (multiplicity 2)
2 Te 0.002 0.262 0.824 (multiplicity 2)
3 Te 0.273 0.005 0.023 (multiplicity 2)
4 Te 0.455 0.282 0.792 (multiplicity 2)
5 Se 0.500 0.192 0.390 (multiplicity 2)
6 S 0.030 0.804 0.650 (multiplicity 2)

Largest 10 diffraction maxima, by angle, 10 to 90 degrees two-theta:
- 2θ = 13.17°, rel. 100, hkl 0 1 0
- 2θ = 16.70°, rel. 38, hkl 0 1 -1
- 2θ = 28.49°, rel. 18, hkl 2 -1 0
- 2θ = 28.74°, rel. 25, hkl 2 0 -2
- 2θ = 29.84°, rel. 52, hkl 0 1 2
- 2θ = 33.40°, rel. 34, hkl 2 -2 0
- 2θ = 33.78°, rel. 21, hkl 0 2 -2
- 2θ = 33.92°, rel. 34, hkl 2 1 -2
- 2θ = 45.39°, rel. 24, hkl -2 3 2
- 2θ = 47.20°, rel. 24, hkl -2 1 4



9.
Diffraction record for Sr2In4AgPt. The PXRD pattern is theoretical, not measured: it uses the GGA-PBE geometry in OQMD and Cu Kα (λ = 1.5418 Å).
Intensities are scaled so that the largest is 100.

Cell and atoms:
Unit cell a=8.015 b=4.596 c=11.194 alpha=90.00 beta=90.00 gamma=90.00
Space group Amm2 (No. 38)
One atom of each set of equivalent atoms:
1 Sr 0.000 0.000 0.000 (multiplicity 2)
2 Sr 0.500 0.000 0.127 (multiplicity 2)
3 In 0.202 0.000 0.710 (multiplicity 4)
4 In 0.308 0.000 0.417 (multiplicity 4)
5 Ag 0.000 0.000 0.285 (multiplicity 2)
6 Pt 0.500 0.000 0.845 (multiplicity 2)

Largest 10 diffraction maxima, by angle, 10 to 90 degrees two-theta:
- 2θ = 15.83°, rel. 49, hkl 0 0 2
- 2θ = 30.66°, rel. 100, hkl 2 1 1
- 2θ = 30.87°, rel. 28, hkl 0 1 3
- 2θ = 32.88°, rel. 94, hkl 1 1 3
- 2θ = 33.93°, rel. 42, hkl 1 0 4
- 2θ = 38.34°, rel. 54, hkl 2 1 3
- 2θ = 39.23°, rel. 94, hkl 0 2 0
- 2θ = 39.85°, rel. 72, hkl 3 1 1
- 2θ = 56.70°, rel. 24, hkl 2 2 4
- 2θ = 61.39°, rel. 40, hkl 0 1 7



10.
Diffraction record for LiNi3H. The PXRD pattern is theoretical, not measured: it uses the GGA-PBE geometry in OQMD and Cu Kα (λ = 1.5418 Å).
Intensities are scaled so that the largest is 100.

Cell and atoms:
Unit cell a=4.400 b=2.492 c=4.405 alpha=90.00 beta=110.51 gamma=90.00
Space group Pm (No. 6)
One atom of each set of equivalent atoms:
1 Li 0.000 0.000 0.000 (multiplicity 1)
2 Ni 0.001 0.500 0.493 (multiplicity 1)
3 Ni 0.507 0.500 0.000 (multiplicity 1)
4 Ni 0.514 0.000 0.486 (multiplicity 1)
5 H 0.277 0.000 0.728 (multiplicity 1)

Largest 10 diffraction maxima, by angle, 10 to 90 degrees two-theta:
- 2θ = 21.55°, rel. 62, hkl 1 0 0
- 2θ = 24.61°, rel. 24, hkl 1 0 -1
- 2θ = 41.54°, rel. 11, hkl 2 0 -1
- 2θ = 42.38°, rel. 20, hkl 1 1 0
- 2θ = 43.91°, rel. 100, hkl 2 0 0
- 2θ = 44.13°, rel. 99, hkl 1 1 -1
- 2θ = 50.45°, rel. 33, hkl 2 0 -2
- 2θ = 51.70°, rel. 62, hkl 1 1 1
- 2θ = 75.14°, rel. 36, hkl 3 1 -1
- 2θ = 75.82°, rel. 9, hkl 2 0 2



11.
Diffraction record for RbPrFe. The PXRD pattern is theoretical, not measured: it uses the GGA-PBE geometry in OQMD and Cu Kα (λ = 1.5418 Å).
Intensities are scaled so that the largest is 100.

Cell and atoms:
Unit cell a=7.479 b=7.479 c=7.479 alpha=90.00 beta=90.00 gamma=90.00
Space group F-43m (No. 216)
One atom of each set of equivalent atoms:
1 Rb 0.000 0.000 0.000 (multiplicity 4)
2 Pr 0.250 0.250 0.750 (multiplicity 4)
3 Fe 0.000 0.000 0.500 (multiplicity 4)

Largest 10 diffraction maxima, by angle, 10 to 90 degrees two-theta:
- 2θ = 20.57°, rel. 59, hkl 1 1 1
- 2θ = 33.90°, rel. 100, hkl 2 2 0
- 2θ = 39.98°, rel. 32, hkl 3 1 1
- 2θ = 48.70°, rel. 18, hkl 4 0 0
- 2θ = 53.40°, rel. 14, hkl 3 3 1
- 2θ = 60.66°, rel. 36, hkl 4 2 2
- 2θ = 64.77°, rel. 10, hkl 5 1 1
- 2θ = 71.34°, rel. 11, hkl 4 4 0
- 2θ = 75.16°, rel. 10, hkl 5 3 1
- 2θ = 81.38°, rel. 15, hkl 6 2 0



12.
Diffraction record for PuTl. The PXRD pattern is theoretical, not measured: it uses the GGA-PBE geometry in OQMD and Cu Kα (λ = 1.5418 Å).
Intensities are scaled so that the largest is 100.

Cell and atoms:
Unit cell a=3.314 b=3.314 c=4.863 alpha=90.00 beta=90.00 gamma=90.00
Space group P4/mmm (No. 123)
One atom of each set of equivalent atoms:
1 Pu 0.000 0.000 0.000 (multiplicity 1)
2 Tl 0.500 0.500 0.500 (multiplicity 1)

Largest 10 diffraction maxima, by angle, 10 to 90 degrees two-theta:
- 2θ = 32.70°, rel. 100, hkl 1 0 1
- 2θ = 36.97°, rel. 18, hkl 0 0 2
- 2θ = 38.42°, rel. 33, hkl 1 1 0
- 2θ = 54.38°, rel. 24, hkl 1 1 2
- 2θ = 55.46°, rel. 12, hkl 2 0 0
- 2θ = 63.94°, rel. 15, hkl 1 0 3
- 2θ = 65.89°, rel. 28, hkl 2 1 1
- 2θ = 68.54°, rel. 12, hkl 2 0 2
- 2θ = 82.30°, rel. 4, hkl 2 2 0
- 2θ = 89.64°, rel. 13, hkl 2 1 3